The following is a theoretical powder X-ray diffraction pattern of Ca2Al2FeSi4BO16. It was derived from a structure optimized by DFT (PBE+U), using Cu Kα (λ = 1.5418 Å).

Most intense lines, 2θ = 15–90°, sorted by position:
hkl 2 0 0, 2θ = 25.38°, rel. 685; hkl 1 0 -2, 2θ = 25.93°, rel. 233; hkl 0 2 -2, 2θ = 28.28°, rel. 776; hkl 2 1 -1, 2θ = 29.72°, rel. 246; hkl 1 0 3, 2θ = 30.12°, rel. 361; hkl 1 1 3, 2θ = 31.11°, rel. 319; hkl 1 3 1, 2θ = 31.48°, rel. 1000; hkl -1 3 1, 2θ = 36.63°, rel. 193; hkl -1 1 3, 2θ = 37.33°, rel. 232; hkl 3 -1 0, 2θ = 41.31°, rel. 243; hkl 1 -1 4, 2θ = 41.60°, rel. 316; hkl 2 4 0, 2θ = 44.63°, rel. 209

Cell and atoms:
```
data_Ca2Al2FeSi4BO16
_chemical_formula_sum 'Ca4 Al4 Fe2 Si8 B2 O32'
_space_group_name_H-M_alt 'P -1'
_space_group_IT_number 2
_cell_length_a 7.2744
_cell_length_b 9.0692
_cell_length_c 9.1126
_cell_angle_alpha 88.08
_cell_angle_beta 77.36
_cell_angle_gamma 81.20
loop_
_space_group_symop_operation_xyz
'x,y,z'
'-x,-y,-z'
loop_
_atom_site_label
_atom_site_fract_x
_atom_site_fract_y
_atom_site_fract_z
Ca1 0.1723 0.4003 0.0919
Ca2 0.2380 0.8828 0.6725
Al1 0.0551 0.2388 0.8129
Al2 0.3419 0.0865 0.9420
Fe1 0.2332 0.6238 0.3826
Si1 0.2115 0.2719 0.4478
Si2 0.2189 0.9801 0.2730
Si3 0.2960 0.5118 0.7333
Si4 0.3503 0.7369 0.9827
B1 0.4648 0.2119 0.6311
O1 0.0206 0.9343 0.2526
O2 0.0470 0.3101 0.6018
O3 0.1030 0.1913 0.9962
O4 0.1198 0.4388 0.8345
O5 0.1411 0.1417 0.3615
O6 0.2093 0.6753 0.1368
O7 0.2296 0.4180 0.3398
O8 0.2322 0.6230 0.6013
O9 0.2813 0.8938 0.9053
O10 0.3214 0.8539 0.3847
O11 0.3304 0.1438 0.7381
O12 0.3715 0.6093 0.8497
O13 0.3854 0.0030 0.1289
O14 0.4239 0.2029 0.4797
O15 0.4429 0.2632 0.9805
O16 0.4743 0.3760 0.6640
```